Starting from a crystal structure in Alexandria, relaxed with GGA+U, the X-ray powder pattern of Nd3Al2VO9 was calculated for Cu Ka.
Intensities are scaled so that the largest is 100.

Structure:
abc: 5.3933 5.3933 6.6773
angles: 90.00 90.00 120.00
Space group P-3m1 (No. 164)
Unique sites:
Nd 0.0000 0.0000 0.0000 (multiplicity 1)
Nd 0.3333 0.6667 0.6722 (multiplicity 2)
Al 0.3333 0.6667 0.1617 (multiplicity 2)
V 0.0000 0.0000 0.5000 (multiplicity 1)
O 0.0000 0.5000 0.0000 (multiplicity 3)
O 0.1704 0.3409 0.3240 (multiplicity 6)

Peak list (6 most intense, 2θ = 5–70°, sorted by position)
| h k l | d (Å) | Rel. int. |
| --- | --- | --- |
| 1 0 1 | 3.827 | 76 |
| 0 1 2 | 2.716 | 100 |
| 1 1 0 | 2.697 | 98 |
| 0 2 1 | 2.204 | 52 |
| 2 0 2 | 1.914 | 68 |
| 1 2 2 | 1.561 | 38 |